Starting from a crystal structure in OQMD, relaxed with GGA-PBE, the powder diffractogram of P5Ir3Au was simulated for Cu Kα (λ = 1.5418 Å).
Peak positions follow from Bragg's law for the DFT cell and can differ from measured ones.

Atomic structure:
a b c (Å): 5.9590 5.9590 5.2210
angles (deg): 90.00 90.00 120.00
Space group P6/mmm (No. 191)
One atom of each set of equivalent atoms:
P 0.0000 0.0000 0.0000 (multiplicity 1)
P 0.3333 0.6667 0.3004 (multiplicity 4)
Ir 0.0000 0.5000 0.0000 (multiplicity 3)
Au 0.0000 0.0000 0.5000 (multiplicity 1)

Peak list (10 most intense, 2θ = 10–90°, low angle first)
- 16.98 deg, I = 454, (0 0 1)
- 24.25 deg, I = 1000, (1 0 1)
- 34.35 deg, I = 302, (0 0 2)
- 34.66 deg, I = 568, (1 1 1)
- 34.77 deg, I = 974, (2 0 0)
- 38.93 deg, I = 462, (2 0 1)
- 49.68 deg, I = 945, (2 0 2)
- 49.91 deg, I = 306, (2 1 1)
- 62.33 deg, I = 281, (2 2 0)
- 83.60 deg, I = 218, (4 0 2)